# 1
For P5H3, the PBE geometry in Alexandria gives the theoretical XRD peak list in this record (Cu Ka).

Structure:
Unit cell a=6.3287 b=19.3567 c=6.1533 alpha=90.00 beta=120.16 gamma=90.00
Space group Cc (No. 9)
One atom of each set of equivalent atoms:
P 0.0000 0.0304 0.0000 [4 per cell]
P 0.2520 0.4638 0.6645 [4 per cell]
P 0.3212 0.2158 0.1909 [4 per cell]
P 0.3513 0.3750 0.2586 [4 per cell]
P 0.4133 0.2871 0.5183 [4 per cell]
H 0.0664 0.1345 0.7393 [4 per cell]
H 0.3488 0.1544 0.3331 [4 per cell]
H 0.3665 0.4003 0.7899 [4 per cell]

Most intense lines, 2θ = 15–90°, low angle first:
2θ/deg, Rel. int.
16.8, 100.0
17.0, 89.9
18.3, 18.0
19.0, 23.3
32.5, 55.8
32.7, 13.3
33.1, 13.1
37.3, 14.8
43.8, 18.0
44.1, 16.3
52.9, 10.4
53.5, 11.5

=====

# 2
For Sr8BiPd2, the PBE geometry in Alexandria gives the theoretical XRD peak list in this record (Cu Ka).

Structure:
Unit cell a=9.8869 b=14.5528 c=6.1845 alpha=90.00 beta=103.56 gamma=90.00
Space group Cm (No. 8)
One atom of each set of equivalent atoms:
Sr 0.0000 0.0000 0.0000 [2 per cell]
Sr 0.0770 0.3660 0.7862 [4 per cell]
Sr 0.1797 0.1342 0.6133 [4 per cell]
Sr 0.2583 0.5000 0.4056 [2 per cell]
Sr 0.3778 0.2424 0.2017 [4 per cell]
Bi 0.3798 0.0000 0.2262 [2 per cell]
Pd 0.3787 0.3131 0.7023 [4 per cell]

Most intense lines, 2θ = 15–90°, low angle first:
2θ/deg, Rel. int.
18.5, 27.4
19.1, 33.7
26.3, 51.9
28.7, 94.0
29.0, 100.0
29.7, 76.3
30.8, 64.4
33.5, 71.2
34.5, 54.6
38.2, 31.1
46.5, 33.2
57.5, 36.1

=====

# 3
For NpNiTe4, the PBE geometry in Alexandria gives the theoretical XRD peak list in this record (Cu Ka).

Structure:
Unit cell a=6.5671 b=8.0853 c=6.1572 alpha=90.00 beta=99.37 gamma=90.00
Space group P2_1/c (No. 14)
One atom of each set of equivalent atoms:
Np 0.0000 0.0000 0.0000 [2 per cell]
Ni 0.5000 0.0000 0.5000 [2 per cell]
Te 0.1623 0.1306 0.5422 [4 per cell]
Te 0.3495 0.7292 0.3060 [4 per cell]

Most intense lines, 2θ = 15–90°, low angle first:
2θ/deg, Rel. int.
24.3, 74.5
26.0, 77.8
29.7, 100.0
30.4, 39.8
31.1, 76.4
32.4, 55.5
35.5, 57.4
36.4, 59.1
37.0, 76.5
37.1, 48.3
38.2, 90.7
43.6, 48.9

=====

# 4
For Fe5C3, the PBE geometry in Alexandria gives the theoretical XRD peak list in this record (Cu Ka).

Structure:
Unit cell a=7.6212 b=7.6212 c=4.7457 alpha=90.00 beta=90.00 gamma=90.00
Space group I4cm (No. 108)
One atom of each set of equivalent atoms:
Fe 0.0000 0.5000 0.0000 [4 per cell]
Fe 0.0740 0.2077 0.3098 [16 per cell]
C 0.0000 0.0000 0.0561 [4 per cell]
C 0.1528 0.3472 0.7102 [8 per cell]

Most intense lines, 2θ = 15–90°, low angle first:
2θ/deg, Rel. int.
32.3, 45.5
37.3, 65.1
37.9, 48.9
41.6, 35.4
45.0, 30.8
47.1, 92.5
51.3, 66.6
53.2, 100.0
53.8, 33.4
75.0, 18.8
75.1, 18.2
79.8, 23.9

=====

# 5
For Ac4Ce3NpN8, the PBE geometry in Alexandria gives the theoretical XRD peak list in this record (Cu Ka).

Structure:
Unit cell a=7.3297 b=7.3297 c=18.3820 alpha=90.00 beta=90.00 gamma=120.00
Space group R-3m (No. 166, hexagonal axes)
One atom of each set of equivalent atoms:
Ac 0.0000 0.0000 0.0000 [3 per cell]
Ac 0.0000 0.5000 0.0000 [9 per cell]
Ce 0.0000 0.5000 0.5000 [9 per cell]
Np 0.0000 0.0000 0.5000 [3 per cell]
N 0.0000 0.0000 0.2361 [6 per cell]
N 0.0210 0.5105 0.2336 [18 per cell]

Most intense lines, 2θ = 15–90°, low angle first:
2θ/deg, Rel. int.
29.1, 36.0
29.8, 100.0
34.3, 91.2
48.9, 32.7
49.8, 32.1
58.0, 17.2
58.7, 32.3
59.1, 15.6
61.9, 16.5
80.8, 13.2
82.0, 14.3
83.2, 14.5

=====

# 6
For BaMgAl3P2H2O14, the PBE geometry in Alexandria gives the theoretical XRD peak list in this record (Cu Ka).

Structure:
Unit cell a=12.3447 b=7.0005 c=7.0330 alpha=90.00 beta=123.67 gamma=90.00
Space group C2 (No. 5)
One atom of each set of equivalent atoms:
Ba 0.0000 0.0000 0.0000 [2 per cell]
Mg 0.0000 0.5988 0.5000 [2 per cell]
Al 0.0000 0.0098 0.5000 [2 per cell]
Al 0.2477 0.7522 0.5025 [4 per cell]
P 0.2003 0.5053 0.0872 [4 per cell]
H 0.2076 0.4864 0.7068 [4 per cell]
O 0.0827 0.8270 0.4284 [4 per cell]
O 0.0877 0.1648 0.4181 [4 per cell]
O 0.1173 0.5075 0.8258 [4 per cell]
O 0.1525 0.0075 0.8237 [4 per cell]
O 0.1713 0.6820 0.1867 [4 per cell]
O 0.1737 0.3229 0.1822 [4 per cell]
O 0.2119 0.4977 0.5698 [4 per cell]

Most intense lines, 2θ = 15–90°, low angle first:
2θ/deg, Rel. int.
15.3, 100.0
24.8, 23.3
25.1, 64.6
25.4, 34.3
29.0, 60.3
29.7, 51.3
29.9, 48.4
30.5, 28.5
38.6, 36.7
39.3, 25.5
47.7, 38.9
51.6, 28.9

=====

# 7
For InAgBr4, the PBE geometry in Alexandria gives the theoretical XRD peak list in this record (Cu Ka).

Structure:
Unit cell a=6.4095 b=6.4095 c=11.3648 alpha=90.00 beta=90.00 gamma=90.00
Space group P-42c (No. 112)
One atom of each set of equivalent atoms:
In 0.0000 0.5000 0.2500 [2 per cell]
Ag 0.0000 0.0000 0.0000 [2 per cell]
Br 0.2408 0.2743 0.3765 [8 per cell]

Most intense lines, 2θ = 15–90°, low angle first:
2θ/deg, Rel. int.
15.9, 37.1
20.9, 12.5
25.1, 100.0
32.2, 7.3
39.4, 8.4
39.8, 26.8
42.5, 45.6
47.6, 31.6
52.4, 12.7
57.5, 8.3
67.7, 10.7
74.1, 15.0

=====

# 8
For Pm2Ga3Co5C2, the PBE geometry in Alexandria gives the theoretical XRD peak list in this record (Cu Ka).

Structure:
Unit cell a=3.8657 b=3.8657 c=22.6647 alpha=90.00 beta=90.00 gamma=90.00
Space group I4/mmm (No. 139)
One atom of each set of equivalent atoms:
Pm 0.0000 0.0000 0.1970 [4 per cell]
Ga 0.0000 0.0000 0.3524 [4 per cell]
Ga 0.0000 0.0000 0.5000 [2 per cell]
Co 0.0000 0.0000 0.0000 [2 per cell]
Co 0.0000 0.5000 0.0787 [8 per cell]
C 0.0000 0.0000 0.0833 [4 per cell]

Most intense lines, 2θ = 15–90°, low angle first:
2θ/deg, Rel. int.
25.9, 13.7
30.4, 47.5
32.8, 31.8
33.7, 33.3
36.2, 59.7
40.7, 100.0
47.0, 66.5
57.0, 16.4
58.0, 16.0
60.7, 25.8
68.7, 20.2
83.0, 23.1

=====

# 9
For La6Tb5, the PBE geometry in Alexandria gives the theoretical XRD peak list in this record (Cu Ka).

Structure:
Unit cell a=10.5590 b=13.6064 c=6.1808 alpha=90.00 beta=118.90 gamma=90.00
Space group C2/m (No. 12)
One atom of each set of equivalent atoms:
La 0.1797 0.0000 0.0716 [4 per cell]
La 0.1857 0.1398 0.6100 [8 per cell]
Tb 0.0000 0.2338 0.0000 [4 per cell]
Tb 0.0000 0.3691 0.5000 [4 per cell]
Tb 0.0000 0.5000 0.0000 [2 per cell]

Most intense lines, 2θ = 15–90°, low angle first:
2θ/deg, Rel. int.
29.1, 41.0
29.7, 49.9
30.1, 22.4
31.1, 100.0
32.1, 20.3
32.3, 68.6
32.5, 24.9
33.1, 24.3
52.1, 24.1
55.9, 19.7
60.4, 18.2
62.4, 16.6

=====

# 10
For MgCd4, the PBE geometry in Alexandria gives the theoretical XRD peak list in this record (Cu Ka).

Structure:
Unit cell a=5.7051 b=5.0640 c=9.8848 alpha=90.00 beta=124.32 gamma=90.00
Space group P2_1/c (No. 14)
One atom of each set of equivalent atoms:
Mg 0.0000 0.0000 0.0000 [2 per cell]
Cd 0.0495 0.0082 0.6909 [4 per cell]
Cd 0.4977 0.0966 0.6428 [4 per cell]

Most intense lines, 2θ = 15–90°, low angle first:
2θ/deg, Rel. int.
20.6, 81.7
21.8, 44.2
26.0, 20.8
28.1, 23.1
35.5, 37.8
37.2, 21.4
37.5, 92.9
37.7, 44.6
38.0, 100.0
38.2, 53.5
38.8, 22.9
53.1, 17.3

=====

# 11
For CaCrGa, the PBE geometry in Alexandria gives the theoretical XRD peak list in this record (Cu Ka).

Structure:
Unit cell a=4.2050 b=4.2050 c=28.2896 alpha=90.00 beta=90.00 gamma=120.00
Space group R3m (No. 160, hexagonal axes)
One atom of each set of equivalent atoms:
Ca 0.0000 0.0000 0.0000 [3 per cell]
Ca 0.0000 0.0000 0.2191 [3 per cell]
Cr 0.0000 0.0000 0.1096 [3 per cell]
Cr 0.0000 0.0000 0.7763 [3 per cell]
Ga 0.0000 0.0000 0.3973 [3 per cell]
Ga 0.0000 0.0000 0.4872 [3 per cell]

Most intense lines, 2θ = 15–90°, low angle first:
2θ/deg, Rel. int.
24.6, 17.5
27.6, 14.8
33.1, 18.1
35.4, 38.0
40.4, 41.7
43.0, 100.0
44.1, 31.6
48.7, 10.9
60.5, 11.7
75.5, 11.8
77.1, 11.0
78.9, 19.2

=====

# 12
For YMnAl, the PBE geometry in Alexandria gives the theoretical XRD peak list in this record (Cu Ka).

Structure:
Unit cell a=5.4858 b=5.5309 c=7.6181 alpha=90.00 beta=90.00 gamma=90.00
Space group Imma (No. 74)
One atom of each set of equivalent atoms:
Y 0.0000 0.2500 0.1201 [4 per cell]
Mn 0.2500 0.2500 0.7500 [4 per cell]
Al 0.0000 0.0000 0.5000 [4 per cell]

Most intense lines, 2θ = 15–90°, low angle first:
2θ/deg, Rel. int.
19.9, 29.2
32.4, 41.8
32.9, 91.2
38.3, 62.9
38.5, 100.0
39.0, 79.2
40.3, 18.8
40.5, 24.1
58.1, 17.1
61.8, 22.9
63.3, 17.1
69.0, 35.4